# 1
Starting from the GGA-PBE geometry in Alexandria, the X-ray powder pattern of NbVCu6Se8 was computed for Cu Ka.

Most intense lines, 2θ = 10–90°, by intensity:
2.007 Å, rel. 100, hkl 2 2 0
3.278 Å, rel. 91, hkl 1 1 2
5.678 Å, rel. 50, hkl 1 0 0
1.712 Å, rel. 40, hkl 3 1 2
1.159 Å, rel. 31, hkl 4 2 4
2.539 Å, rel. 21, hkl 2 0 2

Crystal structure
```
data_NbVCu6Se8
_symmetry_space_group_name_H-M 'P -4 2 m'
_symmetry_Int_Tables_number 111
_cell_length_a 5.6794
_cell_length_b 5.6794
_cell_length_c 11.3478
_cell_angle_alpha 90.00
_cell_angle_beta 90.00
_cell_angle_gamma 90.00
loop_
_symmetry_equiv_pos_as_xyz
'x,y,z'
'y,-x,-z'
'-x,-y,z'
'-y,x,-z'
'x,-y,-z'
'y,x,z'
'-x,y,-z'
'-y,-x,z'
loop_
_atom_site_label
_atom_site_fract_x
_atom_site_fract_y
_atom_site_fract_z
Nb1 0.0000 0.0000 0.0000
V1 0.0000 0.0000 0.5000
Cu1 0.0000 0.0000 0.2522
Cu2 0.0000 0.5000 0.0000
Cu3 0.0000 0.5000 0.5000
Se1 0.2412 0.2412 0.6200
Se2 0.2506 0.2506 0.1260
```


# 2
Starting from the GGA-PBE geometry in Alexandria, the X-ray powder pattern of TaNbCu6Te8 was computed for Cu Ka.

Most intense lines, 2θ = 10–90°, by intensity:
2.121 Å, rel. 100, hkl 4 0 0
3.464 Å, rel. 93, hkl 2 0 1
1.809 Å, rel. 43, hkl 4 2 1
6.000 Å, rel. 35, hkl 1 1 0
1.225 Å, rel. 32, hkl 6 2 2
2.683 Å, rel. 29, hkl 2 2 1

Crystal structure
```
data_TaNbCu6Te8
_symmetry_space_group_name_H-M 'P -4 m 2'
_symmetry_Int_Tables_number 115
_cell_length_a 8.4862
_cell_length_b 8.4862
_cell_length_c 5.9992
_cell_angle_alpha 90.00
_cell_angle_beta 90.00
_cell_angle_gamma 90.00
loop_
_symmetry_equiv_pos_as_xyz
'x,y,z'
'y,-x,-z'
'-x,-y,z'
'-y,x,-z'
'-x,y,z'
'-y,-x,-z'
'x,-y,z'
'y,x,-z'
loop_
_atom_site_label
_atom_site_fract_x
_atom_site_fract_y
_atom_site_fract_z
Ta1 0.0000 0.0000 0.0000
Nb1 0.5000 0.5000 0.0000
Cu1 0.0000 0.0000 0.5000
Cu2 0.2498 0.2498 0.0000
Cu3 0.5000 0.5000 0.5000
Te1 0.0000 0.2567 0.7431
Te2 0.2433 0.5000 0.2568
```


# 3
Starting from the GGA-PBE geometry in Alexandria, the X-ray powder pattern of NbTlCuTcTe was computed for Cu Ka.

Most intense lines, 2θ = 10–90°, by intensity:
2.116 Å, rel. 100, hkl 1 1 4
2.477 Å, rel. 89, hkl 1 1 2
2.683 Å, rel. 71, hkl 1 0 3
2.253 Å, rel. 61, hkl 0 2 0
2.390 Å, rel. 57, hkl 0 1 5
4.293 Å, rel. 49, hkl 0 1 1

Crystal structure
```
data_NbTlCuTcTe
_symmetry_space_group_name_H-M 'I m m 2'
_symmetry_Int_Tables_number 44
_cell_length_a 3.2677
_cell_length_b 4.5067
_cell_length_c 14.0936
_cell_angle_alpha 90.00
_cell_angle_beta 90.00
_cell_angle_gamma 90.00
loop_
_symmetry_equiv_pos_as_xyz
'x,y,z'
'-x,-y,z'
'-x,y,z'
'x,-y,z'
'x+1/2,y+1/2,z+1/2'
'-x+1/2,-y+1/2,z+1/2'
'-x+1/2,y+1/2,z+1/2'
'x+1/2,-y+1/2,z+1/2'
loop_
_atom_site_label
_atom_site_fract_x
_atom_site_fract_y
_atom_site_fract_z
Nb1 0.0000 0.0000 0.0000
Tl1 0.0000 0.0000 0.7789
Cu1 0.0000 0.5000 0.6504
Tc1 0.0000 0.5000 0.1027
Te1 0.0000 0.0000 0.4469
```